(1)
For CsSm2CuTeSe3, a DFT-relaxed cell (PBE, OQMD) gives the computed X-ray powder pattern in this record (Cu Kα X-rays).

Lattice parameters (Å, degrees): 4.3179 15.1997 14.7512 90.00 90.00 90.00
Space group Cmcm (No. 63)
Symmetry-distinct sites (fractional):
Cs: 0.0000 0.1023 0.2500 [4 per cell]
Sm: 0.0000 0.3569 0.0656 [8 per cell]
Cu: 0.0000 0.1661 0.7500 [4 per cell]
Te: 0.0000 0.0000 0.0000 [4 per cell]
Se: 0.0000 0.2617 0.6111 [8 per cell]
Se: 0.0000 0.4184 0.2500 [4 per cell]

Top 12 peaks for 2θ from 15° to 90°, most intense first:
2theta	Rel. int.
29.8	100
27.8	80
40.7	57
41.8	39
21.5	38
26.9	36
32.5	36
27.1	33
37.4	29
43.9	22
36.6	18
40.0	16


(2)
For LaSmAl2Pd4, a DFT-relaxed cell (PBE, OQMD) gives the computed X-ray powder pattern in this record (Cu Kα X-rays).

Lattice parameters (Å, degrees): 4.4199 4.4199 9.5341 90.00 90.00 120.00
Space group P-6m2 (No. 187)
Symmetry-distinct sites (fractional):
La: 0.0000 0.0000 0.0000 [1 per cell]
Sm: 0.3333 0.6667 0.5000 [1 per cell]
Al: 0.6667 0.3333 0.2575 [2 per cell]
Pd: 0.0000 0.0000 0.3270 [2 per cell]
Pd: 0.3333 0.6667 0.1839 [2 per cell]

Top 12 peaks for 2θ from 15° to 90°, most intense first:
2theta	Rel. int.
36.8	100
40.8	59
23.2	41
56.1	29
71.7	28
73.4	13
74.3	10
63.4	8
88.5	6
47.5	6
25.1	5
64.4	5


(3)
For ScGe2Mo2, a DFT-relaxed cell (PBE, OQMD) gives the computed X-ray powder pattern in this record (Cu Kα X-rays).

Lattice parameters (Å, degrees): 3.9286 3.9286 11.4680 90.00 90.00 90.00
Space group I4/mmm (No. 139)
Symmetry-distinct sites (fractional):
Sc: 0.0000 0.0000 0.0000 [2 per cell]
Ge: 0.0000 0.0000 0.3955 [4 per cell]
Mo: 0.0000 0.5000 0.2500 [4 per cell]

Top 12 peaks for 2θ from 15° to 90°, most intense first:
2theta	Rel. int.
35.9	100
45.5	52
46.2	47
15.5	33
45.8	24
23.9	20
78.8	19
32.7	18
85.1	17
67.4	15
67.1	15
68.5	13